For CaPuIn6, a structure optimized by DFT (PBE) gives the theoretical X-ray powder pattern in this record (Cu Kα, 1.54184 Å).
Lines closer than 0.1° are merged.

The 6 most intense peaks (10° ≤ 2θ ≤ 90°), low angle first:
2theta	I (rel.)
31.04	26
33.37	26
35.35	100
55.21	18
60.93	20
66.07	20

Crystal structure
abc: 6.6546 6.6546 5.3698
angles: 90.00 90.00 120.00
Positions (direct):
1 Ca 0.0000 0.0000 0.0000
2 Pu 0.6667 0.3333 0.5000
3 In 0.0102 0.5051 0.0000
4 In 0.1703 0.3405 0.5000
5 In 0.1703 0.8297 0.5000
6 In 0.4949 0.5051 0.0000
7 In 0.4949 0.9898 0.0000
8 In 0.6595 0.8297 0.5000


For Na3LaI6, a structure optimized by DFT (PBE) gives the theoretical X-ray powder pattern in this record (Cu Kα, 1.54184 Å).
Lines closer than 0.1° are merged.

The 6 most intense peaks (10° ≤ 2θ ≤ 90°), low angle first:
2theta	I (rel.)
22.19	31
24.76	87
24.91	100
25.81	38
27.99	24
33.60	36

Crystal structure
abc: 7.9297 8.4962 14.3683
angles: 90.00 122.92 90.00
Positions (direct):
1 Na 0.0000 0.0000 0.0000
2 Na 0.0000 0.5000 0.5000
3 Na 0.2013 0.0941 0.7392
4 Na 0.2013 0.4059 0.2392
5 Na 0.7987 0.5941 0.7608
6 Na 0.7987 0.9059 0.2608
7 La 0.5000 0.0000 0.5000
8 La 0.5000 0.5000 0.0000
9 I 0.0991 0.1815 0.4261
10 I 0.0991 0.3185 0.9261
11 I 0.2465 0.6830 0.4176
12 I 0.2465 0.8170 0.9176
13 I 0.4093 0.0660 0.2576
14 I 0.4093 0.4340 0.7576
15 I 0.5907 0.5660 0.2424
16 I 0.5907 0.9340 0.7424
17 I 0.7535 0.1830 0.0824
18 I 0.7535 0.3170 0.5824
19 I 0.9009 0.6815 0.0739
20 I 0.9009 0.8185 0.5739


For Er8Tm3Sc2, a structure optimized by DFT (PBE) gives the theoretical X-ray powder pattern in this record (Cu Kα, 1.54184 Å).
Lines closer than 0.1° are merged.

The 6 most intense peaks (10° ≤ 2θ ≤ 90°), low angle first:
2theta	I (rel.)
29.89	69
31.84	89
32.91	79
33.10	94
34.03	100
36.14	43

Crystal structure
abc: 8.5608 8.5608 6.5790
angles: 106.21 106.21 63.29
Positions (direct):
1 Er 0.0619 0.6990 0.3088
2 Er 0.0900 0.0900 0.2207
3 Er 0.3010 0.9381 0.6912
4 Er 0.3102 0.3102 0.6062
5 Er 0.6898 0.6898 0.3938
6 Er 0.6990 0.0619 0.3088
7 Er 0.9100 0.9100 0.7793
8 Er 0.9381 0.3010 0.6912
9 Tm 0.3294 0.6706 0.0000
10 Tm 0.5000 0.5000 0.5000
11 Tm 0.6706 0.3294 0.0000
12 Sc 0.2968 0.2968 0.0785
13 Sc 0.7032 0.7032 0.9215


For PmUTiO6, a structure optimized by DFT (PBE) gives the theoretical X-ray powder pattern in this record (Cu Kα, 1.54184 Å).
Lines closer than 0.1° are merged.

The 6 most intense peaks (10° ≤ 2θ ≤ 90°), low angle first:
2theta	I (rel.)
20.75	44
26.01	100
32.67	47
42.23	27
49.64	45
54.39	26

Crystal structure
abc: 5.4822 5.4822 9.8947
angles: 90.00 90.00 120.00
Positions (direct):
1 Pm 0.0000 0.0000 0.0000
2 Pm 0.0000 0.0000 0.5000
3 U 0.3333 0.6667 0.2500
4 U 0.6667 0.3333 0.7500
5 Ti 0.3333 0.6667 0.7500
6 Ti 0.6667 0.3333 0.2500
7 O 0.0214 0.3685 0.6404
8 O 0.0214 0.6529 0.8596
9 O 0.3471 0.3685 0.8596
10 O 0.3471 0.9786 0.6404
11 O 0.3685 0.0214 0.1404
12 O 0.3685 0.3471 0.3596
13 O 0.6315 0.6529 0.6404
14 O 0.6315 0.9786 0.8596
15 O 0.6529 0.0214 0.3596
16 O 0.6529 0.6315 0.1404
17 O 0.9786 0.3471 0.1404
18 O 0.9786 0.6315 0.3596